1.
Computed powder diffraction line list
Compound: Sr3Al4Pt4
Radiation: Cu Kα, 1.54184 Å
Structure: a cell relaxed with PBE
Peak positions follow from Bragg's law for the DFT cell and can differ from measured ones.

Principal peaks in the range 5° ≤ 2θ ≤ 70°, by angle:
2theta  I (rel.)
22.5  16.5
27.7  100.0
32.0  74.6
35.9  45.6
42.8  22.5
48.9  70.8
54.5  24.8
57.1  14.6
59.7  10.5
69.3  20.2

Cell and atoms:
```
Sr3Al4Pt4
1.0
-3.9510 3.9510 3.9510
3.9510 -3.9510 3.9510
3.9510 3.9510 -3.9510
Sr Al Pt
3 4 4
direct
0.0000 0.5000 0.5000
0.5000 0.0000 0.5000
0.5000 0.5000 0.0000
0.0000 0.0000 0.7426
0.0000 0.7426 0.0000
0.2574 0.2574 0.2574
0.7426 0.0000 0.0000
0.0000 0.0000 0.3746
0.0000 0.3746 0.0000
0.3746 0.0000 0.0000
0.6254 0.6254 0.6254
```



2.
Computed powder diffraction line list
Compound: Ho4ErSe5
Radiation: Cu Kα, 1.54184 Å
Structure: a cell relaxed with PBE
Peak positions follow from Bragg's law for the DFT cell and can differ from measured ones.

Principal peaks in the range 5° ≤ 2θ ≤ 70°, by angle:
2theta  I (rel.)
27.0  30.3
31.1  45.4
31.3  89.7
44.7  100.0
52.9  5.0
53.1  10.0
55.6  35.1
64.9  5.5
65.2  10.8

Cell and atoms:
```
Ho4ErSe5
1.0
-4.5229 4.5229 2.8717
4.5229 -4.5229 2.8717
4.5229 4.5229 -2.8717
Ho Er Se
4 1 5
direct
0.0991 0.3011 0.4002
0.3011 0.9009 0.2019
0.6989 0.0991 0.7981
0.9009 0.6989 0.5998
0.5000 0.5000 0.0000
0.0000 0.0000 0.0000
0.2015 0.6003 0.8019
0.3997 0.2015 0.6012
0.6003 0.7985 0.3988
0.7985 0.3997 0.1981
```



3.
Computed powder diffraction line list
Compound: Sr4Te3I
Radiation: Cu Kα, 1.54184 Å
Structure: a cell relaxed with PBE
Peak positions follow from Bragg's law for the DFT cell and can differ from measured ones.

Principal peaks in the range 5° ≤ 2θ ≤ 70°, by angle:
2theta  I (rel.)
23.0  5.6
26.6  100.0
38.0  77.0
44.9  2.9
47.0  27.7
54.8  4.3
54.9  8.8
62.0  23.8
62.1  12.1
68.7  26.3

Cell and atoms:
```
Sr4Te3I
1.0
6.6866 0.0000 0.0000
0.0000 6.6866 0.0000
0.0000 0.0000 13.4039
Sr Te I
8 6 2
direct
0.0000 0.0000 0.2417
0.0000 0.0000 0.7583
0.0000 0.5000 0.0000
0.0000 0.5000 0.5000
0.5000 0.0000 0.0000
0.5000 0.0000 0.5000
0.5000 0.5000 0.2583
0.5000 0.5000 0.7417
0.0000 0.0000 0.0000
0.0000 0.5000 0.2500
0.0000 0.5000 0.7500
0.5000 0.0000 0.2500
0.5000 0.0000 0.7500
0.5000 0.5000 0.5000
0.0000 0.0000 0.5000
0.5000 0.5000 0.0000
```